Calculated X-ray powder pattern
Compound: Li2Mg2InGeIr2
Radiation: Cu Kα, 1.54184 Å
Structure: DFT lattice parameters and positions (PBE)
Neutral-atom scattering factors, no anomalous dispersion.

Structural model:
```
data_Li2Mg2InGeIr2
_cell_length_a 4.4307
_cell_length_b 4.4307
_cell_length_c 6.3583
_cell_angle_alpha 90.00
_cell_angle_beta 90.00
_cell_angle_gamma 90.00
_symmetry_space_group_name_H-M 'P 1'
_symmetry_Int_Tables_number 1
loop_
_symmetry_equiv_pos_as_xyz
'x,y,z'
loop_
_atom_site_label
_atom_site_type_symbol
_atom_site_fract_x
_atom_site_fract_y
_atom_site_fract_z
Li1 Li 0.0000 0.5000 0.2340
Li2 Li 0.5000 0.0000 0.7660
Mg1 Mg 0.0000 0.0000 0.0000
Mg2 Mg 0.5000 0.5000 0.5000
In1 In 0.0000 0.0000 0.5000
Ge1 Ge 0.5000 0.5000 0.0000
Ir1 Ir 0.0000 0.5000 0.7723
Ir2 Ir 0.5000 0.0000 0.2277
```

Principal peaks in the range 5 to 70 degrees two-theta, in order of rising 2θ:
| hkl | d [Å] | 2θ/deg | Rel. int. |
| --- | --- | --- | --- |
| 1 0 1 | 3.635 | 24.49 | 100 |
| 1 1 2 | 2.232 | 40.42 | 68 |
| 2 0 0 | 2.215 | 40.73 | 35 |
| 1 0 3 | 1.912 | 47.56 | 15 |
| 2 1 1 | 1.892 | 48.10 | 33 |
| 2 1 3 | 1.447 | 64.36 | 12 |